This entry pairs a crystal structure of V12Ga3W with its simulated X-ray powder pattern. Radiation: Cu Ka. Structure: a GGA-PBE-relaxed structure.
No peak broadening, texture or thermal motion is included.

The 10 most intense peaks (5° ≤ 2θ ≤ 70°), by angle:
d [Å]  Rel. int.
9.580  184
4.787  90
3.399  248
3.385  133
2.413  240
2.394  468
2.155  315
2.143  555
1.965  518
1.957  1000

Crystal structure
a b c (Å): 4.784 4.826 9.580
angles (deg): 90.00 90.00 90.00
Fractional positions:
V 0.000 0.000 0.124
V 0.000 0.000 0.374
V 0.000 0.000 0.626
V 0.000 0.000 0.876
V 0.253 0.500 0.500
V 0.255 0.500 0.000
V 0.500 0.246 0.250
V 0.500 0.246 0.750
V 0.500 0.754 0.250
V 0.500 0.754 0.750
V 0.745 0.500 0.000
V 0.747 0.500 0.500
Ga 0.000 0.500 0.249
Ga 0.000 0.500 0.751
Ga 0.500 0.000 0.000
W 0.500 0.000 0.500

This entry pairs a crystal structure of Ac8La2Pr3 with its simulated X-ray powder pattern. Radiation: Cu Ka. Structure: a GGA-PBE-relaxed structure.
No peak broadening, texture or thermal motion is included.

The 10 most intense peaks (5° ≤ 2θ ≤ 70°), by angle:
d [Å]  Rel. int.
5.406  131
3.905  212
3.475  202
3.270  361
3.116  884
2.923  1000
2.702  137
1.758  232
1.738  193
1.515  127

Crystal structure
a b c (Å): 11.596 11.596 6.226
angles (deg): 90.02 90.02 42.34
Fractional positions:
Ac 0.106 0.686 0.000
Ac 0.172 0.172 0.501
Ac 0.314 0.894 0.000
Ac 0.367 0.367 0.500
Ac 0.633 0.633 0.500
Ac 0.686 0.106 0.000
Ac 0.828 0.828 0.499
Ac 0.894 0.314 0.000
La 0.257 0.257 0.001
La 0.743 0.743 0.999
Pr 0.210 0.790 0.500
Pr 0.500 0.500 0.000
Pr 0.790 0.210 0.500

This entry pairs a crystal structure of PmSm5Er12 with its simulated X-ray powder pattern. Radiation: Cu Ka. Structure: a GGA-PBE-relaxed structure.
No peak broadening, texture or thermal motion is included.

The 10 most intense peaks (5° ≤ 2θ ≤ 70°), by angle:
d [Å]  Rel. int.
2.955  242
2.874  303
2.775  1000
2.559  126
2.060  175
1.877  80
1.669  118
1.640  209
1.571  91
1.388  89

Crystal structure
a b c (Å): 10.298 10.298 5.910
angles (deg): 90.00 90.00 113.71
Fractional positions:
Pm 0.000 0.000 0.000
Sm 0.167 0.833 0.500
Sm 0.333 0.667 0.000
Sm 0.500 0.500 0.500
Sm 0.667 0.333 0.000
Sm 0.833 0.167 0.500
Er 0.010 0.344 0.052
Er 0.157 0.490 0.552
Er 0.177 0.177 0.450
Er 0.324 0.324 0.949
Er 0.344 0.010 0.052
Er 0.490 0.157 0.552
Er 0.510 0.843 0.448
Er 0.656 0.990 0.948
Er 0.676 0.676 0.051
Er 0.823 0.823 0.550
Er 0.843 0.510 0.448
Er 0.990 0.656 0.948